1.
The following is a theoretical X-ray diffraction stick pattern of Dy3Pd2Pt. It was derived from a GGA-PBE-relaxed structure, using Cu Kα X-rays.
Lines closer than 0.1° are merged.

Crystal structure
Cell: 4.971 14.907 6.960 Å, 90.00 90.00 90.00°
Space group Cmmm (No. 65)
Symmetry-distinct sites (fractional):
1 Dy 0.000 0.000 0.249 x4
2 Dy 0.000 0.332 0.246 x8
3 Pd 0.000 0.169 0.500 x4
4 Pd 0.000 0.500 0.000 x2
5 Pd 0.000 0.500 0.500 x2
6 Pt 0.000 0.161 0.000 x4

Most intense lines, 15 to 90 degrees two-theta, sorted by position:
two_theta  I_rel
36.14  51
36.33  100
52.04  18
52.60  9
65.12  36
65.48  18
77.14  11
88.83  8

=====

2.
The following is a theoretical X-ray diffraction stick pattern of Na8B13C3. It was derived from a GGA-PBE-relaxed structure, using Cu Kα X-rays.
Lines closer than 0.1° are merged.

Crystal structure
Cell: 5.323 2.802 17.353 Å, 90.00 90.01 90.00°
Space group Pm (No. 6)
Symmetry-distinct sites (fractional):
1 Na 0.000 0.000 0.000 x1
2 Na 0.000 0.000 0.250 x1
3 Na 0.499 0.500 0.251 x1
4 Na 0.500 0.500 0.000 x1
5 Na 0.500 0.500 0.500 x1
6 Na 0.502 0.500 0.750 x1
7 Na 0.998 0.000 0.751 x1
8 Na 0.999 0.000 0.500 x1
9 B 0.135 0.500 0.626 x1
10 B 0.150 0.500 0.875 x1
11 B 0.155 0.500 0.375 x1
12 B 0.182 0.500 0.125 x1
13 B 0.344 0.000 0.375 x1
14 B 0.350 0.000 0.626 x1
15 B 0.365 0.000 0.875 x1
16 B 0.635 0.000 0.125 x1
17 B 0.655 0.000 0.376 x1
18 B 0.682 0.000 0.626 x1
19 B 0.818 0.500 0.875 x1
20 B 0.844 0.500 0.375 x1
21 B 0.849 0.500 0.125 x1
22 C 0.338 0.000 0.125 x1
23 C 0.662 0.000 0.875 x1
24 C 0.838 0.500 0.626 x1

Most intense lines, 15 to 90 degrees two-theta, sorted by position:
two_theta  I_rel
33.68  14
36.23  16
39.73  51
41.64  38
41.97  100
61.90  19
76.22  13
77.39  18

=====

3.
The following is a theoretical X-ray diffraction stick pattern of Cu6AsSe2. It was derived from a GGA-PBE-relaxed structure, using Cu Kα X-rays.
Lines closer than 0.1° are merged.

Crystal structure
Cell: 14.253 6.102 8.061 Å, 90.00 122.06 90.00°
Space group C2/c (No. 15)
Symmetry-distinct sites (fractional):
1 Cu 0.031 0.166 0.121 x8
2 Cu 0.108 0.163 0.894 x8
3 Cu 0.124 0.474 0.612 x8
4 As 0.000 0.500 0.250 x4
5 Se 0.180 0.083 0.681 x8

Most intense lines, 15 to 90 degrees two-theta, sorted by position:
two_theta  I_rel
34.57  100
38.40  51
40.13  66
45.21  80
45.48  50
45.88  50
47.06  80
48.67  56

=====

4.
The following is a theoretical X-ray diffraction stick pattern of Ce2ErFe. It was derived from a GGA-PBE-relaxed structure, using Cu Kα X-rays.
Lines closer than 0.1° are merged.

Crystal structure
Cell: 6.807 9.423 6.063 Å, 90.00 90.00 90.00°
Space group Pnma (No. 62)
Symmetry-distinct sites (fractional):
1 Ce 0.151 0.068 0.141 x8
2 Er 0.060 0.250 0.628 x4
3 Fe 0.067 0.750 0.885 x4

Most intense lines, 15 to 90 degrees two-theta, sorted by position:
two_theta  I_rel
27.32  41
32.09  63
32.33  50
32.45  35
33.73  100
34.76  48
35.76  68
58.74  45